Record 1
Ba3Mg2In4Ag2: simulated PXRD pattern (λ = 1.5418 Å (Cu Kα)), based on the GGA-PBE geometry in Alexandria.

Atomic structure:
Cell lengths 4.9598, 4.9598, 17.5042 Å; angles 90.00, 90.00, 120.00 degrees
Space group P-3m1 (No. 164)
Symmetry-distinct sites (fractional):
Ba 0.0000 0.0000 0.0000 (multiplicity 1)
Ba 0.0000 0.0000 0.2650 (multiplicity 2)
Mg 0.3333 0.6667 0.5605 (multiplicity 2)
In 0.3333 0.6667 0.3930 (multiplicity 2)
In 0.3333 0.6667 0.8682 (multiplicity 2)
Ag 0.3333 0.6667 0.1326 (multiplicity 2)

Top 10 peaks for 2θ = 10–90°, in order of rising 2θ:
h k l, two_theta, intensity
0 1 2, 23.07, 19
0 1 3, 25.76, 38
1 0 4, 29.13, 100
0 0 7, 35.91, 11
1 1 0, 36.22, 72
0 2 4, 47.14, 26
1 1 7, 51.93, 22
1 1 8, 56.05, 22
2 1 4, 60.86, 24
3 0 0, 65.16, 12

---

Record 2
Ba2InAgPb6: simulated PXRD pattern (λ = 1.5418 Å (Cu Kα)), based on the GGA-PBE geometry in Alexandria.

Atomic structure:
Cell lengths 7.6350, 7.6350, 42.3121 Å; angles 90.00, 90.00, 120.00 degrees
Space group R-3m (No. 166, hexagonal axes)
Symmetry-distinct sites (fractional):
Ba 0.0000 0.0000 0.1140 (multiplicity 6)
Ba 0.0000 0.0000 0.2885 (multiplicity 6)
In 0.0000 0.0000 0.4280 (multiplicity 6)
Ag 0.0000 0.0000 0.0000 (multiplicity 3)
Ag 0.0000 0.0000 0.5000 (multiplicity 3)
Pb 0.0434 0.5217 0.2964 (multiplicity 18)
Pb 0.0583 0.5291 0.8665 (multiplicity 18)

Top 10 peaks for 2θ = 10–90°, in order of rising 2θ:
h k l, two_theta, intensity
0 1 5, 17.02, 20
0 0 12, 25.26, 40
2 0 2, 27.30, 17
2 0 5, 29.00, 70
0 2 7, 30.83, 100
1 2 2, 36.19, 33
2 0 14, 40.44, 27
3 0 9, 45.45, 19
2 2 0, 47.64, 35
2 2 12, 54.68, 16

---

Record 3
Ba2In6AgPb: simulated PXRD pattern (λ = 1.5418 Å (Cu Kα)), based on the GGA-PBE geometry in Alexandria.

Atomic structure:
Cell lengths 7.3694, 7.3694, 41.9170 Å; angles 90.00, 90.00, 120.00 degrees
Space group R-3m (No. 166, hexagonal axes)
Symmetry-distinct sites (fractional):
Ba 0.0000 0.0000 0.1059 (multiplicity 6)
Ba 0.0000 0.0000 0.2765 (multiplicity 6)
In 0.0566 0.5283 0.3060 (multiplicity 18)
In 0.0634 0.5317 0.8614 (multiplicity 18)
Ag 0.0000 0.0000 0.0000 (multiplicity 3)
Ag 0.0000 0.0000 0.5000 (multiplicity 3)
Pb 0.0000 0.0000 0.4246 (multiplicity 6)

Top 10 peaks for 2θ = 10–90°, in order of rising 2θ:
h k l, two_theta, intensity
1 1 0, 24.15, 55
0 1 11, 27.26, 33
1 1 6, 27.36, 48
2 0 5, 29.96, 43
1 0 13, 31.08, 69
0 2 7, 31.78, 100
0 2 10, 35.39, 32
1 2 2, 37.53, 47
3 0 9, 47.00, 40
2 2 0, 49.47, 46

---

Record 4
BaPr2In2Ag2: simulated PXRD pattern (λ = 1.5418 Å (Cu Kα)), based on the GGA-PBE geometry in Alexandria.

Atomic structure:
Cell lengths 5.0322, 5.0322, 29.8523 Å; angles 90.00, 90.00, 120.00 degrees
Space group R-3m (No. 166, hexagonal axes)
Symmetry-distinct sites (fractional):
Ba 0.0000 0.0000 0.0000 (multiplicity 3)
Pr 0.0000 0.0000 0.1290 (multiplicity 6)
In 0.0000 0.0000 0.2506 (multiplicity 6)
Ag 0.0000 0.0000 0.4152 (multiplicity 6)

Top 10 peaks for 2θ = 10–90°, in order of rising 2θ:
h k l, two_theta, intensity
0 0 6, 17.83, 20
1 0 7, 29.30, 69
0 1 8, 31.56, 54
1 1 0, 35.68, 100
1 1 6, 40.16, 15
0 2 7, 46.82, 19
2 0 8, 48.37, 16
2 1 7, 60.23, 17
1 2 8, 61.54, 16
3 0 0, 64.11, 17

---

Record 5
Ba4InAgS6: simulated PXRD pattern (λ = 1.5418 Å (Cu Kα)), based on the GGA-PBE geometry in Alexandria.

Atomic structure:
Cell lengths 8.8210, 9.0071, 18.0137 Å; angles 90.00, 104.13, 90.00 degrees
Space group P2_1/c (No. 14)
Symmetry-distinct sites (fractional):
Ba 0.0979 0.2406 0.4590 (multiplicity 4)
Ba 0.2184 0.0807 0.7152 (multiplicity 4)
Ba 0.2540 0.5779 0.7849 (multiplicity 4)
Ba 0.3884 0.7359 0.0394 (multiplicity 4)
In 0.4432 0.1193 0.1324 (multiplicity 4)
Ag 0.0614 0.6289 0.3662 (multiplicity 4)
S 0.0132 0.1873 0.2794 (multiplicity 4)
S 0.0920 0.6140 0.9300 (multiplicity 4)
S 0.1840 0.5092 0.5982 (multiplicity 4)
S 0.3357 0.0131 0.9027 (multiplicity 4)
S 0.4126 0.1287 0.5736 (multiplicity 4)
S 0.4878 0.6789 0.2281 (multiplicity 4)

Top 10 peaks for 2θ = 10–90°, in order of rising 2θ:
h k l, two_theta, intensity
0 2 2, 22.21, 53
2 0 2, 25.33, 100
0 1 5, 27.38, 48
2 2 -1, 28.32, 81
2 2 0, 28.79, 54
2 1 -5, 30.47, 53
0 3 2, 31.51, 50
2 1 4, 34.22, 52
2 3 -2, 36.57, 47
4 0 -2, 40.92, 56

---

Record 6
Ba2In4AgSn3: simulated PXRD pattern (λ = 1.5418 Å (Cu Kα)), based on the GGA-PBE geometry in Alexandria.

Atomic structure:
Cell lengths 5.1454, 5.1454, 11.7667 Å; angles 90.00, 90.00, 90.00 degrees
Space group P-4m2 (No. 115)
Symmetry-distinct sites (fractional):
Ba 0.0000 0.5000 0.2383 (multiplicity 2)
In 0.0000 0.0000 0.5000 (multiplicity 1)
In 0.0000 0.5000 0.8805 (multiplicity 2)
In 0.5000 0.5000 0.5000 (multiplicity 1)
Ag 0.5000 0.5000 0.0000 (multiplicity 1)
Sn 0.0000 0.0000 0.0000 (multiplicity 1)
Sn 0.0000 0.5000 0.6345 (multiplicity 2)

Top 10 peaks for 2θ = 10–90°, in order of rising 2θ:
h k l, two_theta, intensity
1 0 3, 28.62, 62
1 1 2, 28.85, 100
2 0 0, 34.87, 80
1 1 4, 39.39, 37
1 0 5, 42.23, 23
2 1 3, 45.71, 34
2 2 0, 50.15, 28
2 1 5, 55.88, 20
3 1 2, 58.89, 26
3 1 4, 65.56, 16

---

Record 7
Ba2InAg4Sn3: simulated PXRD pattern (λ = 1.5418 Å (Cu Kα)), based on the GGA-PBE geometry in Alexandria.

Atomic structure:
Cell lengths 4.8858, 4.8858, 11.5127 Å; angles 90.00, 90.00, 90.00 degrees
Space group P-4m2 (No. 115)
Symmetry-distinct sites (fractional):
Ba 0.0000 0.5000 0.2423 (multiplicity 2)
In 0.0000 0.0000 0.5000 (multiplicity 1)
Ag 0.0000 0.0000 0.0000 (multiplicity 1)
Ag 0.0000 0.5000 0.6332 (multiplicity 2)
Ag 0.5000 0.5000 0.0000 (multiplicity 1)
Sn 0.0000 0.5000 0.8750 (multiplicity 2)
Sn 0.5000 0.5000 0.5000 (multiplicity 1)

Top 10 peaks for 2θ = 10–90°, in order of rising 2θ:
h k l, two_theta, intensity
1 0 3, 29.60, 60
1 1 2, 30.17, 100
2 0 0, 36.79, 75
1 1 4, 40.81, 35
1 0 5, 43.45, 25
2 1 3, 47.91, 31
2 2 0, 53.01, 26
2 1 5, 58.21, 21
3 1 2, 62.21, 25
4 2 0, 89.77, 18

---

Record 8
Ba2Tl6InAg: simulated PXRD pattern (λ = 1.5418 Å (Cu Kα)), based on the GGA-PBE geometry in Alexandria.

Atomic structure:
Cell lengths 7.7267, 7.7267, 39.5870 Å; angles 90.00, 90.00, 120.00 degrees
Space group R-3m (No. 166, hexagonal axes)
Symmetry-distinct sites (fractional):
Ba 0.0000 0.0000 0.1078 (multiplicity 6)
Ba 0.0000 0.0000 0.2814 (multiplicity 6)
Tl 0.0470 0.5235 0.3014 (multiplicity 18)
Tl 0.0567 0.5283 0.8652 (multiplicity 18)
In 0.0000 0.0000 0.4266 (multiplicity 6)
Ag 0.0000 0.0000 0.0000 (multiplicity 3)
Ag 0.0000 0.0000 0.5000 (multiplicity 3)

Top 10 peaks for 2θ = 10–90°, in order of rising 2θ:
h k l, two_theta, intensity
0 0 6, 13.42, 22
0 0 12, 27.03, 42
0 1 11, 28.15, 33
2 0 5, 28.97, 79
0 2 7, 31.06, 100
1 0 13, 32.30, 21
1 2 2, 35.79, 50
2 0 11, 36.67, 37
3 0 9, 45.60, 38
2 2 0, 47.04, 42